# 1
The following is a calculated powder diffractogram of Np2SbS6. It was derived from DFT lattice parameters and positions (PBE), using Cu Kα (weighted mean of Kα1 and Kα2).
Intensities are scaled so that the largest is 100.

Largest 10 diffraction maxima, low angle first, 2θ = 10–90°:
(1 0 0), 14.2 deg, d 6.230, I = 21
(1 1 0), 24.8 deg, d 3.597, I = 100
(1 0 1), 26.0 deg, d 3.429, I = 93
(1 1 1), 33.1 deg, d 2.706, I = 18
(0 2 1), 36.2 deg, d 2.482, I = 73
(3 0 0), 43.6 deg, d 2.077, I = 42
(3 -1 1), 44.3 deg, d 2.043, I = 68
(1 0 2), 46.6 deg, d 1.950, I = 20
(4 -3 1), 57.9 deg, d 1.593, I = 20
(3 2 1), 69.7 deg, d 1.350, I = 23

Atomic structure:
Cell: 7.1932 7.1932 4.1066 Å, 90.00 90.00 120.00°
Space group P-3 (No. 147)
One atom of each set of equivalent atoms:
1 Np 0.3333 0.6667 0.2635
2 Sb 0.0000 0.0000 0.5000
3 S 0.0798 0.6967 0.7545

# 2
The following is a calculated powder diffractogram of NpTl2SbS4. It was derived from DFT lattice parameters and positions (PBE), using Cu Kα (weighted mean of Kα1 and Kα2).
Intensities are scaled so that the largest is 100.

Largest 10 diffraction maxima, low angle first, 2θ = 10–90°:
(0 2 2), 25.6 deg, d 3.476, I = 49
(2 0 2), 26.0 deg, d 3.421, I = 47
(0 0 4), 29.9 deg, d 2.986, I = 100
(0 4 0), 42.2 deg, d 2.139, I = 13
(2 2 4), 42.8 deg, d 2.111, I = 49
(4 0 0), 43.3 deg, d 2.089, I = 12
(2 4 2), 50.3 deg, d 1.814, I = 18
(4 2 2), 51.0 deg, d 1.791, I = 17
(0 4 4), 52.7 deg, d 1.738, I = 13
(4 0 4), 53.6 deg, d 1.711, I = 13

Atomic structure:
Cell: 8.356 8.557 11.923 Å, 90.00 90.00 90.00°
Space group Imma (No. 74)
One atom of each set of equivalent atoms:
1 Np 0.250 0.250 0.250
2 Tl 0.000 0.000 0.000
3 Tl 0.250 0.250 0.750
4 Sb 0.000 0.000 0.500
5 S 0.000 0.036 0.265
6 S 0.220 0.250 0.484

# 3
The following is a calculated powder diffractogram of NpSc3S4. It was derived from DFT lattice parameters and positions (PBE), using Cu Kα (weighted mean of Kα1 and Kα2).
Intensities are scaled so that the largest is 100.

Largest 10 diffraction maxima, low angle first, 2θ = 10–90°:
(0 0 6), 14.5 deg, d 6.118, I = 31
(1 0 1), 27.6 deg, d 3.228, I = 23
(0 1 2), 28.0 deg, d 3.191, I = 23
(0 0 12), 29.2 deg, d 3.057, I = 42
(0 1 5), 30.1 deg, d 2.965, I = 21
(0 1 8), 33.9 deg, d 2.647, I = 100
(1 1 0), 48.6 deg, d 1.872, I = 68
(0 1 20), 57.8 deg, d 1.596, I = 21
(2 0 8), 60.6 deg, d 1.528, I = 23
(1 2 8), 81.3 deg, d 1.184, I = 29

Atomic structure:
Cell: 3.7421 3.7421 36.7078 Å, 90.00 90.00 120.00°
Space group R-3m (No. 166, hexagonal axes)
One atom of each set of equivalent atoms:
1 Np 0.0000 0.0000 0.0000
2 Sc 0.0000 0.0000 0.2491
3 Sc 0.0000 0.0000 0.5000
4 S 0.0000 0.0000 0.1262
5 S 0.0000 0.0000 0.3789

# 4
The following is a calculated powder diffractogram of NpSc4S5. It was derived from DFT lattice parameters and positions (PBE), using Cu Kα (weighted mean of Kα1 and Kα2).
Intensities are scaled so that the largest is 100.

Largest 10 diffraction maxima, low angle first, 2θ = 10–90°:
(0 1 1), 17.5 deg, d 5.076, I = 33
(0 1 3), 22.1 deg, d 4.026, I = 18
(1 0 1), 24.3 deg, d 3.662, I = 16
(0 1 5), 29.3 deg, d 3.049, I = 35
(1 1 2), 30.9 deg, d 2.897, I = 19
(0 2 0), 34.0 deg, d 2.640, I = 100
(2 0 0), 48.8 deg, d 1.867, I = 68
(1 1 10), 57.9 deg, d 1.593, I = 14
(2 2 0), 60.8 deg, d 1.524, I = 23
(3 0 5), 81.5 deg, d 1.181, I = 19

Atomic structure:
Cell: 3.734 5.274 18.693 Å, 90.00 90.00 90.00°
Space group Immm (No. 71)
One atom of each set of equivalent atoms:
1 Np 0.000 0.000 0.000
2 Sc 0.000 0.000 0.198
3 Sc 0.000 0.000 0.400
4 S 0.000 0.500 0.000
5 S 0.000 0.500 0.200
6 S 0.000 0.500 0.395